No. 1
This entry pairs a crystal structure of Ac3TbSn3 with its theoretical powder diffractogram. Radiation: copper Kα. Structure: a GGA-PBE-relaxed structure.
Peak positions follow from Bragg's law for the DFT cell and can differ from measured ones.

```
data_Ac3TbSn3
_chemical_formula_sum 'Ac12 Tb4 Sn12'
_symmetry_space_group_name_H-M 'C 1 2/m 1'
_symmetry_Int_Tables_number 12
_symmetry_space_group_name_Hall '-C 2y'
_cell_length_a 9.1588
_cell_length_b 13.8872
_cell_length_c 8.5689
_cell_angle_alpha 90.00
_cell_angle_beta 94.37
_cell_angle_gamma 90.00
loop_
_atom_site_label
_atom_site_type_symbol
_atom_site_fract_x
_atom_site_fract_y
_atom_site_fract_z
Ac1 Ac 0.0000 0.1624 0.0000
Ac2 Ac 0.0000 0.2307 0.5000
Ac3 Ac 0.1129 0.5000 0.8459
Tb1 Tb 0.2404 0.0000 0.6004
Sn1 Sn 0.0675 0.0000 0.2893
Sn2 Sn 0.1833 0.3286 0.2027
```

Main lines, in order of falling intensity (2θ = 10–90°):
| 2θ (°) | d (Å) | I (rel.) | (hkl) |
| --- | --- | --- | --- |
| 30.4 | 2.940 | 100 | 2 2 -2 |
| 30.6 | 2.919 | 97 | 1 3 2 |
| 24.3 | 3.668 | 76 | 1 3 1 |
| 31.1 | 2.875 | 52 | 3 1 -1 |
| 26.2 | 3.404 | 49 | 2 2 1 |
| 23.2 | 3.833 | 37 | 1 1 -2 |
| 24.5 | 3.638 | 32 | 0 2 2 |
| 27.7 | 3.216 | 29 | 0 4 1 |
| 29.7 | 3.007 | 27 | 2 0 2 |
| 25.7 | 3.472 | 26 | 0 4 0 |

***

No. 2
This entry pairs a crystal structure of Ac4SnTe5 with its theoretical powder diffractogram. Radiation: copper Kα. Structure: a GGA-PBE-relaxed structure.
Peak positions follow from Bragg's law for the DFT cell and can differ from measured ones.

```
data_Ac4SnTe5
_chemical_formula_sum 'Ac12 Sn3 Te15'
_symmetry_space_group_name_H-M 'R -3 m'
_symmetry_Int_Tables_number 166
_symmetry_space_group_name_Hall '-R 3 2"'
_cell_length_a 4.7430
_cell_length_b 4.7430
_cell_length_c 57.0256
_cell_angle_alpha 90.00
_cell_angle_beta 90.00
_cell_angle_gamma 120.00
loop_
_atom_site_label
_atom_site_type_symbol
_atom_site_fract_x
_atom_site_fract_y
_atom_site_fract_z
Ac1 Ac 0.0000 0.0000 0.0998
Ac2 Ac 0.0000 0.0000 0.2991
Sn1 Sn 0.0000 0.0000 0.5000
Te1 Te 0.0000 0.0000 0.0000
Te2 Te 0.0000 0.0000 0.1974
Te3 Te 0.0000 0.0000 0.4007
```

Main lines, in order of falling intensity (2θ = 10–90°):
| 2θ (°) | d (Å) | I (rel.) | (hkl) |
| --- | --- | --- | --- |
| 26.7 | 3.333 | 100 | 1 0 10 |
| 37.9 | 2.372 | 40 | 1 1 0 |
| 38.4 | 2.342 | 38 | 0 1 20 |
| 47.0 | 1.932 | 22 | 0 2 10 |
| 61.9 | 1.498 | 19 | 2 1 10 |
| 62.6 | 1.483 | 18 | 1 1 30 |
| 68.9 | 1.363 | 14 | 1 2 20 |
| 55.1 | 1.666 | 14 | 2 0 20 |
| 87.3 | 1.117 | 9 | 1 3 10 |
| 23.0 | 3.865 | 8 | 0 1 5 |